Calculated powder diffractogram
Compound: Li3Co2Si2O8
Radiation: Cu Kα (λ = 1.5418 Å)
Structure: the PBE+U geometry in Alexandria
Lines closer than 0.1° are merged.

Main lines, by intensity (2θ = 10–90°):
- 2θ 21.61, rel. 100, (0 1 1)
- 2θ 22.47, rel. 64, (1 0 -1)
- 2θ 22.30, rel. 59, (1 0 1)
- 2θ 35.60, rel. 47, (2 0 0)
- 2θ 33.57, rel. 33, (0 2 0)
- 2θ 32.51, rel. 26, (0 1 -2)
- 2θ 28.05, rel. 22, (1 -1 1)
- 2θ 32.39, rel. 22, (0 1 2)
- 2θ 37.19, rel. 21, (1 -1 2)
- 2θ 59.43, rel. 16, (0 3 -2)

Atomic structure:
a = 5.044 Å, b = 5.339 Å, c = 6.446 Å
α = 89.78°, β = 89.56°, γ = 89.57°
Sites, in units of the cell vectors:
Li 0.000 0.000 0.000
Li 0.013 0.526 0.740
Li 0.505 0.351 0.491
Co 0.508 0.353 0.997
Co 0.998 0.005 0.484
Si 0.007 0.505 0.245
Si 0.493 0.867 0.749
O 0.068 0.801 0.240
O 0.113 0.368 0.459
O 0.132 0.369 0.028
O 0.167 0.867 0.744
O 0.597 0.021 0.957
O 0.601 0.569 0.770
O 0.616 0.006 0.547
O 0.683 0.450 0.233